Starting from a structure optimized by DFT (PBE+U), the powder diffraction line list of Ca3Fe2Sb2O12 was computed for CuKα.
Neutral-atom scattering factors, no anomalous dispersion.

Top 12 peaks for 15 to 90 degrees two-theta, in order of rising 2θ:
(1 0 -1), 19.8 deg, I 29
(1 -1 0), 22.5 deg, I 51
(1 1 0), 22.9 deg, I 100
(0 2 0), 32.0 deg, I 43
(-1 1 2), 32.3 deg, I 85
(1 1 -2), 32.5 deg, I 83
(1 1 2), 32.7 deg, I 42
(2 -2 0), 45.8 deg, I 29
(0 0 4), 46.8 deg, I 61
(-3 1 2), 57.7 deg, I 21
(0 2 4), 58.0 deg, I 19
(3 1 -2), 58.2 deg, I 19

Atomic structure:
```
data_Ca3Fe2Sb2O12
_space_group_name_H-M_alt 'P 1'
_space_group_IT_number 1
_cell_length_a 5.5023
_cell_length_b 5.5970
_cell_length_c 7.7638
_cell_angle_alpha 90.36
_cell_angle_beta 90.16
_cell_angle_gamma 91.06
loop_
_space_group_symop_operation_xyz
'x,y,z'
loop_
_atom_site_label
_atom_site_type_symbol
_atom_site_fract_x
_atom_site_fract_y
_atom_site_fract_z
Ca1 Ca 0.0000 0.0000 0.0000
Ca2 Ca 0.0203 0.0935 0.4981
Ca3 Ca 0.5144 0.4820 0.0022
Fe1 Fe 0.5115 0.0217 0.2564
Fe2 Fe 0.9974 0.5449 0.7463
Sb1 Sb 0.0030 0.5486 0.2532
Sb2 Sb 0.5116 0.0230 0.7435
O1 O 0.0945 0.5629 0.9996
O2 O 0.1921 0.8477 0.7150
O3 O 0.1944 0.8509 0.2834
O4 O 0.2875 0.3068 0.7209
O5 O 0.2868 0.3269 0.2759
O6 O 0.4248 0.0609 0.9981
O7 O 0.5987 0.0218 0.4986
O8 O 0.7136 0.7512 0.8105
O9 O 0.7211 0.7522 0.1914
O10 O 0.7941 0.2467 0.7973
O11 O 0.8005 0.2518 0.2055
O12 O 0.9369 0.5110 0.5022
```